1.
Diffraction record for BaBe13. The XRD peak list is calculated, not measured: it uses a crystal structure in Alexandria, relaxed with PBE and Cu Ka.

Top 10 peaks for 2θ from 15° to 90°, most intense first:
Position (°2θ)	Rel. int.
23.72	100
16.71	77
37.92	73
41.70	60
29.16	46
65.88	30
54.72	26
33.79	22
51.69	21
73.62	20

Cell and atoms:
a b c (Å): 7.502 7.502 7.502
angles (deg): 60.00 60.00 60.00
Fractional coordinates of all 28 atoms:
Ba 0.250 0.250 0.250
Ba 0.750 0.750 0.750
Be 0.000 0.000 0.000
Be 0.067 0.281 0.719
Be 0.067 0.719 0.933
Be 0.067 0.933 0.281
Be 0.219 0.433 0.781
Be 0.219 0.567 0.433
Be 0.219 0.781 0.567
Be 0.281 0.067 0.933
Be 0.281 0.719 0.067
Be 0.281 0.933 0.719
Be 0.433 0.219 0.567
Be 0.433 0.567 0.781
Be 0.433 0.781 0.219
Be 0.500 0.500 0.500
Be 0.567 0.219 0.781
Be 0.567 0.433 0.219
Be 0.567 0.781 0.433
Be 0.719 0.067 0.281
Be 0.719 0.281 0.933
Be 0.719 0.933 0.067
Be 0.781 0.219 0.433
Be 0.781 0.433 0.567
Be 0.781 0.567 0.219
Be 0.933 0.067 0.719
Be 0.933 0.281 0.067
Be 0.933 0.719 0.281

2.
Diffraction record for BaBe4Br. The XRD peak list is calculated, not measured: it uses a crystal structure in Alexandria, relaxed with PBE and Cu Ka.

Top 10 peaks for 2θ from 15° to 90°, most intense first:
Position (°2θ)	Rel. int.
31.87	100
19.36	94
37.55	72
56.78	36
50.05	26
60.57	25
70.08	20
75.73	15
45.69	15
66.60	13

Cell and atoms:
a b c (Å): 5.617 5.617 5.617
angles (deg): 60.00 60.00 60.00
Fractional coordinates of all 6 atoms:
Ba 0.000 0.000 0.000
Be 0.207 0.598 0.598
Be 0.598 0.207 0.598
Be 0.598 0.598 0.207
Be 0.598 0.598 0.598
Br 0.250 0.250 0.250

3.
Diffraction record for BaCa2Be. The XRD peak list is calculated, not measured: it uses a crystal structure in Alexandria, relaxed with PBE and Cu Ka.

Top 10 peaks for 2θ from 15° to 90°, most intense first:
Position (°2θ)	Rel. int.
25.43	100
29.71	77
33.98	41
26.32	36
43.48	36
55.83	22
58.19	22
43.07	21
17.46	20
48.81	14

Cell and atoms:
a b c (Å): 3.732 3.732 10.157
angles (deg): 90.00 90.17 90.00
Fractional coordinates of all 4 atoms:
Ba 0.000 0.000 0.000
Ca 0.500 0.500 0.334
Ca 0.500 0.500 0.666
Be 0.000 0.000 0.500

4.
Diffraction record for BaCaBe2. The XRD peak list is calculated, not measured: it uses a crystal structure in Alexandria, relaxed with PBE and Cu Ka.

Top 10 peaks for 2θ from 15° to 90°, most intense first:
Position (°2θ)	Rel. int.
24.11	100
33.87	96
18.75	87
33.98	59
40.61	50
19.75	36
32.17	35
58.48	31
57.38	25
49.17	25

Cell and atoms:
a b c (Å): 4.048 5.564 8.991
angles (deg): 90.00 90.00 90.00
Fractional coordinates of all 8 atoms:
Ba 0.000 0.000 0.000
Ba 0.500 0.500 0.500
Ca 0.000 0.500 0.175
Ca 0.500 0.000 0.675
Be 0.000 0.000 0.377
Be 0.000 0.500 0.814
Be 0.500 0.000 0.314
Be 0.500 0.500 0.877

5.
Diffraction record for BaBe2Cd. The XRD peak list is calculated, not measured: it uses a crystal structure in Alexandria, relaxed with PBE and Cu Ka.

Top 10 peaks for 2θ from 15° to 90°, most intense first:
Position (°2θ)	Rel. int.
26.25	100
31.58	66
42.64	32
30.10	28
53.05	22
47.77	19
50.77	16
54.02	14
68.40	13
71.15	12

Cell and atoms:
a b c (Å): 7.345 4.240 6.429
angles (deg): 90.00 112.53 90.00
Fractional coordinates of all 8 atoms:
Ba 0.000 0.000 0.000
Ba 0.500 0.500 0.000
Be 0.181 0.000 0.544
Be 0.319 0.500 0.456
Be 0.681 0.500 0.544
Be 0.819 0.000 0.456
Cd 0.000 0.500 0.500
Cd 0.500 0.000 0.500

6.
Diffraction record for BaBeCl4. The XRD peak list is calculated, not measured: it uses a crystal structure in Alexandria, relaxed with PBE and Cu Ka.

Top 10 peaks for 2θ from 15° to 90°, most intense first:
Position (°2θ)	Rel. int.
18.56	100
31.75	99
19.09	88
17.36	62
30.92	47
24.27	40
36.14	35
36.42	33
35.18	32
31.17	30

Cell and atoms:
a b c (Å): 6.092 9.560 6.137
angles (deg): 90.00 99.00 90.00
Fractional coordinates of all 12 atoms:
Ba 0.139 0.250 0.154
Ba 0.861 0.750 0.846
Be 0.366 0.750 0.344
Be 0.634 0.250 0.656
Cl 0.214 0.579 0.188
Cl 0.214 0.921 0.188
Cl 0.305 0.250 0.676
Cl 0.335 0.750 0.668
Cl 0.665 0.250 0.332
Cl 0.695 0.750 0.324
Cl 0.786 0.079 0.812
Cl 0.786 0.421 0.812

7.
Diffraction record for Ba2BeCl6. The XRD peak list is calculated, not measured: it uses a crystal structure in Alexandria, relaxed with PBE and Cu Ka.

Top 10 peaks for 2θ from 15° to 90°, most intense first:
Position (°2θ)	Rel. int.
17.28	100
24.11	92
19.43	73
19.96	72
36.32	71
18.83	70
37.31	67
32.21	59
30.88	53
29.24	49

Cell and atoms:
a b c (Å): 6.684 8.023 11.332
angles (deg): 90.00 123.73 90.00
Fractional coordinates of all 18 atoms:
Ba 0.215 0.105 0.259
Ba 0.215 0.395 0.759
Ba 0.785 0.605 0.241
Ba 0.785 0.895 0.741
Be 0.500 0.000 0.000
Be 0.500 0.500 0.500
Cl 0.167 0.149 0.962
Cl 0.167 0.351 0.462
Cl 0.285 0.705 0.952
Cl 0.285 0.795 0.452
Cl 0.361 0.016 0.781
Cl 0.361 0.484 0.281
Cl 0.639 0.516 0.719
Cl 0.639 0.984 0.219
Cl 0.715 0.205 0.548
Cl 0.715 0.295 0.048
Cl 0.833 0.649 0.538
Cl 0.833 0.851 0.038

8.
Diffraction record for BaBeHgCl2. The XRD peak list is calculated, not measured: it uses a crystal structure in Alexandria, relaxed with PBE and Cu Ka.

Top 10 peaks for 2θ from 15° to 90°, most intense first:
Position (°2θ)	Rel. int.
18.98	100
35.84	42
38.52	27
30.11	27
21.16	25
23.46	25
31.80	19
38.72	17
49.81	17
49.65	13

Cell and atoms:
a b c (Å): 5.937 5.937 7.583
angles (deg): 90.00 90.00 90.00
Fractional coordinates of all 5 atoms:
Ba 0.000 0.000 0.000
Be 0.000 0.000 0.500
Hg 0.500 0.500 0.500
Cl 0.000 0.500 0.000
Cl 0.500 0.000 0.000

> Which formula does entry 6 have?

BaBeCl4